No. 1
Simulated X-ray powder pattern of FePHO5 for Cu Kα X-rays, from the PBE+U geometry in the Materials Project.

```
data_FePHO5
_space_group_name_H-M_alt 'P -1'
_space_group_IT_number 2
_space_group_name_Hall '-P 1'
_cell_length_a 5.2543
_cell_length_b 5.3202
_cell_length_c 7.3604
_cell_angle_alpha 106.77
_cell_angle_beta 109.41
_cell_angle_gamma 97.22
loop_
_atom_site_label
_atom_site_type_symbol
_atom_site_fract_x
_atom_site_fract_y
_atom_site_fract_z
Fe1 Fe 0.0000 0.0000 0.0000
Fe2 Fe 0.0000 0.0000 0.5000
P1 P 0.3328 0.6517 0.2712
H1 H 0.3510 0.0279 0.8260
O1 O 0.1217 0.6809 0.3773
O2 O 0.1452 0.9666 0.7734
O3 O 0.2901 0.8070 0.1185
O4 O 0.2915 0.3465 0.1606
O5 O 0.3671 0.2348 0.5651
```

The 12 most intense peaks (2θ = 10–90°), low angle first:
2θ (°), Rel. int.
17.96, 61
18.22, 41
18.33, 23
18.47, 45
22.43, 31
25.90, 25
26.50, 53
26.78, 22
27.02, 100
28.94, 69
36.61, 28
55.72, 26


No. 2
Simulated X-ray powder pattern of FePH4O6 for Cu Kα X-rays, from the PBE+U geometry in the Materials Project.

```
data_FePH4O6
_space_group_name_H-M_alt 'P 1 21/c 1'
_space_group_IT_number 14
_space_group_name_Hall '-P 2ybc'
_cell_length_a 5.3637
_cell_length_b 9.9212
_cell_length_c 10.3007
_cell_angle_alpha 90.00
_cell_angle_beta 120.94
_cell_angle_gamma 90.00
loop_
_atom_site_label
_atom_site_type_symbol
_atom_site_fract_x
_atom_site_fract_y
_atom_site_fract_z
Fe1 Fe 0.0984 0.1736 0.1907
P1 P 0.2729 0.6491 0.6845
H1 H 0.1229 0.0443 0.7825
H2 H 0.2559 0.1686 0.4878
H3 H 0.4023 0.5506 0.3279
H4 H 0.4577 0.6524 0.0176
O1 O 0.1002 0.6741 0.7666
O2 O 0.1194 0.7204 0.5285
O3 O 0.2097 0.5469 0.3211
O4 O 0.2909 0.0062 0.1686
O5 O 0.3325 0.1338 0.4255
O6 O 0.4167 0.2063 0.7165
```

The 12 most intense peaks (2θ = 10–90°), low angle first:
2θ (°), Rel. int.
13.42, 32
17.88, 42
18.81, 73
19.29, 24
20.10, 93
21.41, 21
24.44, 44
31.75, 100
34.64, 37
41.90, 16
44.64, 19
54.56, 18


No. 3
Simulated X-ray powder pattern of Fe7P6H4O24 for Cu Kα X-rays, from the PBE+U geometry in the Materials Project.

```
data_Fe7P6H4O24
_space_group_name_H-M_alt 'P -1'
_space_group_IT_number 2
_space_group_name_Hall '-P 1'
_cell_length_a 6.6754
_cell_length_b 8.1076
_cell_length_c 9.5831
_cell_angle_alpha 103.41
_cell_angle_beta 108.96
_cell_angle_gamma 101.63
loop_
_atom_site_label
_atom_site_type_symbol
_atom_site_fract_x
_atom_site_fract_y
_atom_site_fract_z
Fe1 Fe 0.0000 0.0000 0.0000
Fe2 Fe 0.0558 0.7097 0.5164
Fe3 Fe 0.2686 0.8039 0.2805
Fe4 Fe 0.3865 0.4540 0.1132
P1 P 0.0878 0.5848 0.8290
P2 P 0.2221 0.1457 0.7735
P3 P 0.4068 0.2208 0.3668
H1 H 0.1776 0.8794 0.8054
H2 H 0.3392 0.2658 0.5793
O1 O 0.0144 0.1698 0.6595
O2 O 0.0635 0.5455 0.6564
O3 O 0.1021 0.7843 0.8959
O4 O 0.1197 0.5371 0.1651
O5 O 0.2104 0.9407 0.7250
O6 O 0.2251 0.1880 0.9398
O7 O 0.2595 0.2612 0.4683
O8 O 0.2738 0.0387 0.2355
O9 O 0.3026 0.5491 0.9224
O10 O 0.3823 0.7920 0.5115
O11 O 0.4310 0.2473 0.7543
O12 O 0.4499 0.3673 0.2990
```

The 12 most intense peaks (2θ = 10–90°), low angle first:
2θ (°), Rel. int.
17.83, 26
19.99, 25
27.30, 29
27.74, 24
28.43, 31
28.82, 100
29.63, 53
30.34, 16
32.05, 38
33.78, 22
35.20, 22
55.85, 16


No. 4
Simulated X-ray powder pattern of FeP2HO7 for Cu Kα X-rays, from the PBE+U geometry in the Materials Project.

```
data_FeP2HO7
_space_group_name_H-M_alt 'P 1 21/c 1'
_space_group_IT_number 14
_space_group_name_Hall '-P 2ybc'
_cell_length_a 4.9649
_cell_length_b 12.9219
_cell_length_c 8.9565
_cell_angle_alpha 90.00
_cell_angle_beta 114.81
_cell_angle_gamma 90.00
loop_
_atom_site_label
_atom_site_type_symbol
_atom_site_fract_x
_atom_site_fract_y
_atom_site_fract_z
Fe1 Fe 0.0901 0.1247 0.4928
P1 P 0.2247 0.6734 0.7536
P2 P 0.4073 0.0403 0.2507
H1 H 0.4360 0.1739 0.1018
O1 O 0.0152 0.1483 0.6895
O2 O 0.1373 0.7464 0.1176
O3 O 0.1903 0.0913 0.3056
O4 O 0.2820 0.5213 0.1050
O5 O 0.2870 0.5701 0.6703
O6 O 0.4310 0.0955 0.1032
O7 O 0.4754 0.2021 0.6035
```

The 12 most intense peaks (2θ = 10–90°), low angle first:
2θ (°), Rel. int.
12.86, 100
22.48, 42
23.37, 21
23.53, 53
24.08, 12
27.23, 63
28.67, 15
29.77, 54
31.33, 17
33.66, 18
34.15, 17
39.28, 22


No. 5
Simulated X-ray powder pattern of FeP3H6O6 for Cu Kα X-rays, from the PBE+U geometry in the Materials Project.

```
data_FeP3H6O6
_space_group_name_H-M_alt 'R -3'
_space_group_IT_number 148
_space_group_name_Hall '-R 3'
_cell_length_a 11.6003
_cell_length_b 11.6003
_cell_length_c 9.7780
_cell_angle_alpha 90.00
_cell_angle_beta 90.00
_cell_angle_gamma 120.00
loop_
_atom_site_label
_atom_site_type_symbol
_atom_site_fract_x
_atom_site_fract_y
_atom_site_fract_z
Fe1 Fe 0.0000 0.0000 0.0000
Fe2 Fe 0.0000 0.0000 0.5000
P1 P 0.0131 0.8160 0.2449
H1 H 0.0152 0.3657 0.4192
H2 H 0.0732 0.5135 0.8976
O1 O 0.0310 0.1577 0.6170
O2 O 0.0513 0.1634 0.8823
```

The 12 most intense peaks (2θ = 10–90°), low angle first:
2θ (°), Rel. int.
15.28, 100
25.16, 56
25.42, 24
29.79, 43
33.44, 18
37.14, 15
41.18, 11
43.41, 8
49.61, 7
52.22, 7
54.80, 12
64.16, 6


No. 6
Simulated X-ray powder pattern of FePH2O4 for Cu Kα X-rays, from the PBE+U geometry in the Materials Project.

```
data_FePH2O4
_space_group_name_H-M_alt 'P 1 21/c 1'
_space_group_IT_number 14
_space_group_name_Hall '-P 2ybc'
_cell_length_a 5.3339
_cell_length_b 9.4334
_cell_length_c 10.6451
_cell_angle_alpha 90.00
_cell_angle_beta 118.38
_cell_angle_gamma 90.00
loop_
_atom_site_label
_atom_site_type_symbol
_atom_site_fract_x
_atom_site_fract_y
_atom_site_fract_z
Fe1 Fe 0.0843 0.1871 0.1612
P1 P 0.2704 0.6530 0.6866
H1 H 0.1237 0.5794 0.3124
H2 H 0.3366 0.1260 0.4385
O1 O 0.0758 0.6930 0.7524
O2 O 0.1527 0.7193 0.5363
O3 O 0.2692 0.0114 0.1756
O4 O 0.4219 0.2002 0.7182
```

The 12 most intense peaks (2θ = 10–90°), low angle first:
2θ (°), Rel. int.
13.32, 41
18.85, 100
18.95, 64
19.12, 64
19.40, 36
21.17, 19
21.58, 27
26.81, 24
30.15, 18
32.82, 17
33.07, 26
33.68, 20


- Number 2 is which compound?
  FePH4O6